Diffraction record for In2PtAu8. The PXRD pattern is theoretical, not measured: it uses a cell relaxed with PBE and Cu Ka.
Intensities are scaled so that the largest is 100.

The 6 most intense peaks (10° ≤ 2θ ≤ 90°), low angle first:
d_spacing	2θ/deg	intensity
3.215	27.75	48.4
2.519	35.64	54.7
2.357	38.18	100.0
2.319	38.83	78.0
2.303	39.11	75.8
2.297	39.22	99.4

Atomic structure:
Cell: 7.4046 7.4046 4.8290 Å, 101.31 101.31 60.98°
Fractional coordinates of all 11 atoms:
1 In 0.1279 0.1279 0.0308
2 In 0.8721 0.8721 0.9692
3 Pt 0.0000 0.0000 0.5000
4 Au 0.2316 0.2316 0.5911
5 Au 0.2393 0.6191 0.7024
6 Au 0.3587 0.3587 0.1587
7 Au 0.3809 0.7607 0.2976
8 Au 0.6191 0.2393 0.7024
9 Au 0.6413 0.6413 0.8413
10 Au 0.7607 0.3809 0.2976
11 Au 0.7684 0.7684 0.4089



Diffraction record for SmInPtAu. The PXRD pattern is theoretical, not measured: it uses a cell relaxed with PBE and Cu Ka.
Intensities are scaled so that the largest is 100.

The 6 most intense peaks (10° ≤ 2θ ≤ 90°), low angle first:
d_spacing	2θ/deg	intensity
2.574	34.86	100.0
2.401	37.46	32.9
2.394	37.57	65.4
2.218	40.67	14.9
1.756	52.10	21.3
1.414	66.05	20.9

Atomic structure:
Cell: 4.7886 4.7886 5.1767 Å, 117.56 117.56 60.17°
Fractional coordinates of all 4 atoms:
1 Sm 0.0000 0.0000 0.0000
2 In 0.4872 0.4872 0.4605
3 Pt 0.7735 0.7735 0.3203
4 Au 0.2329 0.2329 0.6974



Diffraction record for SrInPt2Au. The PXRD pattern is theoretical, not measured: it uses a cell relaxed with PBE and Cu Ka.
Intensities are scaled so that the largest is 100.

The 6 most intense peaks (10° ≤ 2θ ≤ 90°), low angle first:
d_spacing	2θ/deg	intensity
3.990	22.28	28.9
3.875	22.95	29.0
2.663	33.66	100.0
2.223	40.59	31.7
2.178	41.46	67.1
2.095	43.19	30.4

Atomic structure:
Cell: 7.1747 7.1747 7.1747 Å, 147.16 146.05 47.95°
Fractional coordinates of all 5 atoms:
1 Sr 0.0000 0.0000 0.0000
2 In 0.2641 0.7641 0.5000
3 Pt 0.4099 0.4099 0.0000
4 Pt 0.7697 0.2697 0.5000
5 Au 0.6139 0.6139 0.0000



Diffraction record for Pu2In3Au4. The PXRD pattern is theoretical, not measured: it uses a cell relaxed with PBE and Cu Ka.
Intensities are scaled so that the largest is 100.

The 6 most intense peaks (10° ≤ 2θ ≤ 90°), low angle first:
d_spacing	2θ/deg	intensity
2.576	34.83	100.0
2.476	36.28	95.3
1.785	51.17	33.9
1.508	61.50	16.0
1.448	64.33	34.3
1.430	65.26	17.4

Atomic structure:
Cell: 4.9527 4.9527 9.6638 Å, 90.00 90.00 120.00°
Fractional coordinates of all 9 atoms:
1 Pu 0.3333 0.6667 0.2198
2 Pu 0.6667 0.3333 0.7802
3 In 0.0000 0.0000 0.0000
4 In 0.3333 0.6667 0.5828
5 In 0.6667 0.3333 0.4172
6 Au 0.0000 0.0000 0.3475
7 Au 0.0000 0.0000 0.6525
8 Au 0.3333 0.6667 0.9043
9 Au 0.6667 0.3333 0.0957